Computed powder X-ray diffraction pattern of GaSnAsS for Cu Kα X-rays, from DFT lattice parameters and positions (PBE).
No peak broadening, texture or thermal motion is included.

```
data_GaSnAsS
_chemical_formula_sum 'Ga1 Sn1 As1 S1'
_cell_length_a 3.9184
_cell_length_b 3.9184
_cell_length_c 8.4878
_cell_angle_alpha 90.00
_cell_angle_beta 90.00
_cell_angle_gamma 120.00
_space_group_name_H-M_alt 'P 1'
_space_group_IT_number 1
loop_
_space_group_symop_operation_xyz
'x,y,z'
loop_
_atom_site_label
_atom_site_fract_x
_atom_site_fract_y
_atom_site_fract_z
Ga1 0.0000 0.0000 0.0000
Sn1 0.0000 0.0000 0.6862
As1 0.6667 0.3333 0.5321
S1 0.3333 0.6667 0.1099
```

Most intense lines, 2θ from 5° to 70°, low angle first:
two_theta	intensity	(hkl)
10.42	73	0 0 1
20.93	40	0 0 2
26.26	50	1 0 0
28.32	100	0 1 1
41.56	86	0 1 3
46.34	49	1 1 0
50.74	28	1 0 4
63.98	24	2 0 3